(1)
Calculated X-ray powder pattern
Compound: Fe3RhN
Radiation: Cu Kα (weighted mean of Kα1 and Kα2)
Structure: a structure optimized by DFT (PBE)
Peak positions follow from Bragg's law for the DFT cell and can differ from measured ones.

Most intense lines, 2θ = 10–80°, low angle first:
2θ/deg	d_spacing	intensity
23.09	3.852	4.4
32.88	2.724	13.5
40.57	2.224	100.0
47.19	1.926	56.6
53.17	1.723	2.6
58.71	1.573	4.9
68.95	1.362	33.3
78.53	1.218	2.1

Crystal structure
a b c (Å): 3.8519 3.8519 3.8519
angles (deg): 90.00 90.00 90.00
Positions (direct):
Fe 0.0000 0.0000 0.5000
Fe 0.0000 0.5000 0.0000
Fe 0.5000 0.0000 0.0000
Rh 0.5000 0.5000 0.5000
N 0.0000 0.0000 0.0000



(2)
Calculated X-ray powder pattern
Compound: Sr3Nb4O13
Radiation: Cu Kα (weighted mean of Kα1 and Kα2)
Structure: a structure optimized by DFT (PBE)
Peak positions follow from Bragg's law for the DFT cell and can differ from measured ones.

Most intense lines, 2θ = 10–80°, low angle first:
2θ/deg	d_spacing	intensity
28.10	3.175	100.0
31.36	2.852	40.1
31.72	2.821	56.5
39.26	2.295	19.4
45.47	1.995	41.1
51.32	1.780	29.2
54.31	1.689	30.7
61.61	1.505	19.5

Crystal structure
a b c (Å): 18.5749 18.5749 18.5749
angles (deg): 167.67 167.67 17.47
Positions (direct):
Sr 0.0000 0.0000 0.0000
Sr 0.1302 0.1302 0.0000
Sr 0.8698 0.8698 0.0000
Nb 0.3118 0.3118 0.0000
Nb 0.4415 0.4415 0.0000
Nb 0.5585 0.5585 0.0000
Nb 0.6882 0.6882 0.0000
O 0.0529 0.5529 0.5000
O 0.1717 0.6717 0.5000
O 0.2648 0.2648 0.0000
O 0.3283 0.8283 0.5000
O 0.3902 0.3902 0.0000
O 0.4471 0.9471 0.5000
O 0.5000 0.5000 0.0000
O 0.5529 0.0529 0.5000
O 0.6098 0.6098 0.0000
O 0.6717 0.1717 0.5000
O 0.7352 0.7352 0.0000
O 0.8283 0.3283 0.5000
O 0.9471 0.4471 0.5000



(3)
Calculated X-ray powder pattern
Compound: Li2CrS4
Radiation: Cu Kα (weighted mean of Kα1 and Kα2)
Structure: a structure optimized by DFT (PBE)
Peak positions follow from Bragg's law for the DFT cell and can differ from measured ones.

Most intense lines, 2θ = 10–80°, low angle first:
2θ/deg	d_spacing	intensity
14.99	5.910	100.0
16.70	5.308	29.0
27.07	3.294	34.5
30.33	2.947	28.9
33.76	2.655	42.8
34.68	2.586	64.0
43.42	2.084	37.9
56.40	1.631	31.8

Crystal structure
a b c (Å): 13.1241 3.4286 5.8942
angles (deg): 90.00 115.77 90.00
Positions (direct):
Li 0.2084 0.0000 0.2358
Li 0.2916 0.5000 0.7642
Li 0.7084 0.5000 0.2358
Li 0.7916 0.0000 0.7642
Cr 0.0000 0.5000 0.5000
Cr 0.5000 0.0000 0.5000
S 0.0632 0.5000 0.9456
S 0.1347 0.0000 0.5610
S 0.3653 0.5000 0.4390
S 0.4368 0.0000 0.0544
S 0.5632 0.0000 0.9456
S 0.6347 0.5000 0.5610
S 0.8653 0.0000 0.4390
S 0.9368 0.5000 0.0544



(4)
Calculated X-ray powder pattern
Compound: CrNiP
Radiation: Cu Kα (weighted mean of Kα1 and Kα2)
Structure: a structure optimized by DFT (PBE)
Peak positions follow from Bragg's law for the DFT cell and can differ from measured ones.

Most intense lines, 2θ = 10–80°, low angle first:
2θ/deg	d_spacing	intensity
39.87	2.261	100.0
40.12	2.247	63.9
42.34	2.135	74.5
42.65	2.120	35.3
47.56	1.912	39.2
48.70	1.870	28.9
50.22	1.817	25.9
51.85	1.763	45.2

Crystal structure
a b c (Å): 5.8328 3.5266 6.8262
angles (deg): 90.00 90.00 90.00
Positions (direct):
Cr 0.0328 0.2500 0.1715
Cr 0.4672 0.7500 0.6715
Cr 0.5328 0.2500 0.3285
Cr 0.9672 0.7500 0.8285
Ni 0.1407 0.2500 0.5611
Ni 0.3593 0.7500 0.0611
Ni 0.6407 0.2500 0.9389
Ni 0.8593 0.7500 0.4389
P 0.2452 0.7500 0.3731
P 0.2548 0.2500 0.8731
P 0.7452 0.7500 0.1269
P 0.7548 0.2500 0.6269



(5)
Calculated X-ray powder pattern
Compound: Sr2HoBiO6
Radiation: Cu Kα (weighted mean of Kα1 and Kα2)
Structure: a structure optimized by DFT (PBE)
Peak positions follow from Bragg's law for the DFT cell and can differ from measured ones.

Most intense lines, 2θ = 10–80°, low angle first:
2θ/deg	d_spacing	intensity
20.92	4.247	33.3
29.27	3.051	24.2
29.77	3.001	100.0
30.16	2.963	23.6
42.53	2.126	24.1
52.22	1.752	18.3
53.32	1.718	23.3
61.83	1.500	14.8

Crystal structure
a b c (Å): 5.9267 6.1016 10.3382
angles (deg): 90.00 124.96 90.00
Positions (direct):
Sr 0.2348 0.0478 0.2477
Sr 0.2348 0.4522 0.7477
Sr 0.7652 0.5478 0.2523
Sr 0.7652 0.9522 0.7523
Ho 0.0000 0.0000 0.5000
Ho 0.0000 0.5000 0.0000
Bi 0.5000 0.0000 0.0000
Bi 0.5000 0.5000 0.5000
O 0.1620 0.1999 0.9535
O 0.1620 0.3001 0.4535
O 0.2483 0.7128 0.9463
O 0.2483 0.7872 0.4463
O 0.3512 0.0378 0.7563
O 0.3512 0.4622 0.2563
O 0.6488 0.5378 0.7437
O 0.6488 0.9622 0.2437
O 0.7517 0.2128 0.5537
O 0.7517 0.2872 0.0537
O 0.8380 0.6999 0.5465
O 0.8380 0.8001 0.0465



(6)
Calculated X-ray powder pattern
Compound: Mg14MnCr
Radiation: Cu Kα (weighted mean of Kα1 and Kα2)
Structure: a structure optimized by DFT (PBE)
Peak positions follow from Bragg's law for the DFT cell and can differ from measured ones.

Most intense lines, 2θ = 10–80°, low angle first:
2θ/deg	d_spacing	intensity
32.76	2.734	25.4
35.82	2.507	25.2
37.47	2.400	100.0
49.32	1.848	15.1
58.47	1.578	16.8
65.46	1.426	17.6
70.50	1.336	18.3
71.54	1.319	13.2

Crystal structure
a b c (Å): 6.3139 6.3139 10.0263
angles (deg): 90.00 90.00 120.00
Positions (direct):
Mg 0.0000 0.0000 0.2493
Mg 0.0000 0.0000 0.7507
Mg 0.0083 0.5041 0.2491
Mg 0.0083 0.5041 0.7509
Mg 0.3346 0.1673 0.0000
Mg 0.3351 0.1675 0.5000
Mg 0.4959 0.5041 0.2491
Mg 0.4959 0.5041 0.7509
Mg 0.4959 0.9917 0.2491
Mg 0.4959 0.9917 0.7509
Mg 0.8325 0.1675 0.5000
Mg 0.8325 0.6649 0.5000
Mg 0.8327 0.1673 0.0000
Mg 0.8327 0.6654 0.0000
Mn 0.3333 0.6667 0.0000
Cr 0.3333 0.6667 0.5000



(7)
Calculated X-ray powder pattern
Compound: Tc4N3
Radiation: Cu Kα (weighted mean of Kα1 and Kα2)
Structure: a structure optimized by DFT (PBE)
Peak positions follow from Bragg's law for the DFT cell and can differ from measured ones.

Most intense lines, 2θ = 10–80°, low angle first:
2θ/deg	d_spacing	intensity
33.19	2.699	37.7
38.66	2.329	100.0
43.41	2.084	95.3
52.59	1.740	12.8
59.41	1.556	23.4
66.62	1.404	28.4
76.49	1.245	20.5
79.77	1.202	12.2

Crystal structure
a b c (Å): 10.9172 10.9172 10.9172
angles (deg): 14.78 14.78 14.78
Positions (direct):
Tc 0.1208 0.1208 0.1208
Tc 0.3657 0.3657 0.3657
Tc 0.6343 0.6343 0.6343
Tc 0.8792 0.8792 0.8792
N 0.2572 0.2572 0.2572
N 0.5000 0.5000 0.5000
N 0.7428 0.7428 0.7428



(8)
Calculated X-ray powder pattern
Compound: Ho2MgSe4
Radiation: Cu Kα (weighted mean of Kα1 and Kα2)
Structure: a structure optimized by DFT (PBE)
Peak positions follow from Bragg's law for the DFT cell and can differ from measured ones.

Most intense lines, 2θ = 10–80°, low angle first:
2θ/deg	d_spacing	intensity
14.31	6.190	77.7
23.35	3.809	50.2
26.07	3.418	100.0
28.85	3.095	64.9
30.95	2.889	61.6
32.91	2.722	87.7
39.79	2.265	44.3
40.45	2.230	43.8

Crystal structure
a b c (Å): 13.1040 4.0057 14.0456
angles (deg): 90.00 90.00 90.00
Positions (direct):
Ho 0.1153 0.2500 0.0743
Ho 0.1432 0.2500 0.7029
Ho 0.3568 0.7500 0.2029
Ho 0.3847 0.7500 0.5743
Ho 0.6153 0.2500 0.4257
Ho 0.6432 0.2500 0.7971
Ho 0.8568 0.7500 0.2971
Ho 0.8847 0.7500 0.9257
Mg 0.1130 0.7500 0.4527
Mg 0.3870 0.2500 0.9527
Mg 0.6130 0.7500 0.0473
Mg 0.8870 0.2500 0.5473
Se 0.0109 0.7500 0.6171
Se 0.0290 0.2500 0.8811
Se 0.2207 0.2500 0.2496
Se 0.2410 0.2500 0.5140
Se 0.2590 0.7500 0.0140
Se 0.2793 0.7500 0.7496
Se 0.4710 0.7500 0.3811
Se 0.4891 0.2500 0.1171
Se 0.5109 0.7500 0.8829
Se 0.5290 0.2500 0.6189
Se 0.7207 0.2500 0.2504
Se 0.7410 0.2500 0.9860
Se 0.7590 0.7500 0.4860
Se 0.7793 0.7500 0.7504
Se 0.9710 0.7500 0.1189
Se 0.9891 0.2500 0.3829



(9)
Calculated X-ray powder pattern
Compound: CaTa2O6
Radiation: Cu Kα (weighted mean of Kα1 and Kα2)
Structure: a structure optimized by DFT (PBE)
Peak positions follow from Bragg's law for the DFT cell and can differ from measured ones.

Most intense lines, 2θ = 10–80°, low angle first:
2θ/deg	d_spacing	intensity
22.63	3.928	100.0
32.23	2.778	93.1
46.22	1.964	28.7
52.06	1.757	42.9
57.46	1.604	40.2
67.43	1.389	16.6
72.13	1.309	19.5
76.72	1.242	16.4

Crystal structure
a b c (Å): 7.8569 7.8569 7.8569
angles (deg): 90.00 90.00 90.00
Positions (direct):
Ca 0.0000 0.0000 0.0000
Ca 0.0000 0.5000 0.5000
Ca 0.5000 0.0000 0.5000
Ca 0.5000 0.5000 0.0000
Ta 0.2507 0.2507 0.2507
Ta 0.2507 0.2507 0.7493
Ta 0.2507 0.7493 0.2507
Ta 0.2507 0.7493 0.7493
Ta 0.7493 0.2507 0.2507
Ta 0.7493 0.2507 0.7493
Ta 0.7493 0.7493 0.2507
Ta 0.7493 0.7493 0.7493
O 0.0000 0.2730 0.2237
O 0.0000 0.2730 0.7763
O 0.0000 0.7270 0.2237
O 0.0000 0.7270 0.7763
O 0.2174 0.2887 0.5000
O 0.2174 0.7113 0.5000
O 0.2237 0.0000 0.2730
O 0.2237 0.0000 0.7270
O 0.2730 0.2237 0.0000
O 0.2730 0.7763 0.0000
O 0.2887 0.5000 0.2174
O 0.2887 0.5000 0.7826
O 0.5000 0.2174 0.2887
O 0.5000 0.2174 0.7113
O 0.5000 0.7826 0.2887
O 0.5000 0.7826 0.7113
O 0.7113 0.5000 0.2174
O 0.7113 0.5000 0.7826
O 0.7270 0.2237 0.0000
O 0.7270 0.7763 0.0000
O 0.7763 0.0000 0.2730
O 0.7763 0.0000 0.7270
O 0.7826 0.2887 0.5000
O 0.7826 0.7113 0.5000